1.
Computed powder XRD pattern of AlCuPt for Cu Kα (λ = 1.5418 Å), from a structure optimized by DFT (GGA-PBE).
Peak positions follow from Bragg's law for the DFT cell and can differ from measured ones.

The 12 most intense peaks (2θ from 10° to 90°), most intense first:
2.232 Å, I = 100
3.699 Å, I = 98
2.091 Å, I = 82
2.955 Å, I = 59
1.819 Å, I = 53
2.219 Å, I = 49
2.393 Å, I = 32
1.340 Å, I = 25
1.407 Å, I = 23
2.034 Å, I = 21
1.499 Å, I = 16
1.265 Å, I = 16

Structural model:
Unit cell a=5.9474 b=4.6155 c=5.0313 alpha=75.99 beta=48.85 gamma=55.16
Positions (direct):
Al 0.0000 0.0000 0.0000
Al 0.2500 0.2500 0.2500
Cu 0.3305 0.3305 0.6695
Cu 0.5805 0.5805 0.9195
Pt 0.6667 0.6667 0.3333
Pt 0.9167 0.9167 0.5833

2.
Computed powder XRD pattern of AlCuPt4 for Cu Kα (λ = 1.5418 Å), from a structure optimized by DFT (GGA-PBE).
Peak positions follow from Bragg's law for the DFT cell and can differ from measured ones.

The 12 most intense peaks (2θ from 10° to 90°), most intense first:
2.055 Å, I = 100
2.912 Å, I = 64
2.902 Å, I = 32
1.187 Å, I = 21
2.063 Å, I = 20
1.301 Å, I = 17
1.190 Å, I = 14
1.456 Å, I = 13
1.681 Å, I = 13
1.677 Å, I = 13
1.299 Å, I = 11
1.185 Å, I = 7

Structural model:
Unit cell a=7.1209 b=7.1110 c=5.8233 alpha=65.94 beta=65.76 gamma=48.31
Positions (direct):
Al 0.1250 0.1250 0.1250
Al 0.8750 0.8750 0.8750
Cu 0.3750 0.3750 0.3750
Cu 0.6250 0.6250 0.6250
Pt 0.0004 0.5001 0.2482
Pt 0.9996 0.4999 0.7518
Pt 0.2482 0.7514 0.0004
Pt 0.2486 0.7518 0.4999
Pt 0.4999 0.9996 0.2486
Pt 0.5001 0.0004 0.7514
Pt 0.7514 0.2482 0.5001
Pt 0.7518 0.2486 0.9996

3.
Computed powder XRD pattern of AlCu2Pt for Cu Kα (λ = 1.5418 Å), from a structure optimized by DFT (GGA-PBE).
Peak positions follow from Bragg's law for the DFT cell and can differ from measured ones.

The 12 most intense peaks (2θ from 10° to 90°), most intense first:
2.176 Å, I = 100
3.393 Å, I = 43
1.916 Å, I = 34
1.150 Å, I = 25
3.653 Å, I = 21
2.709 Å, I = 20
1.322 Å, I = 19
1.826 Å, I = 14
1.668 Å, I = 12
2.055 Å, I = 11
1.111 Å, I = 11
1.355 Å, I = 11

Structural model:
Unit cell a=4.5479 b=4.5479 c=4.5479 alpha=130.18 beta=130.18 gamma=73.12
Positions (direct):
Al 0.0000 0.0000 0.0000
Cu 0.2500 0.7500 0.5000
Cu 0.5000 0.5000 0.0000
Pt 0.7500 0.2500 0.5000

4.
Computed powder XRD pattern of AlCuPt3 for Cu Kα (λ = 1.5418 Å), from a structure optimized by DFT (GGA-PBE).
Peak positions follow from Bragg's law for the DFT cell and can differ from measured ones.

The 12 most intense peaks (2θ from 10° to 90°), most intense first:
2.227 Å, I = 100
2.007 Å, I = 38
2.804 Å, I = 27
1.198 Å, I = 14
2.993 Å, I = 14
1.196 Å, I = 14
1.339 Å, I = 13
1.419 Å, I = 12
1.796 Å, I = 12
4.489 Å, I = 9
1.668 Å, I = 8
2.565 Å, I = 5

Structural model:
Unit cell a=4.0131 b=4.0152 c=9.1943 alpha=90.00 beta=102.45 gamma=90.00
Positions (direct):
Al 0.1527 0.2500 0.3046
Al 0.8473 0.7500 0.6954
Cu 0.3466 0.2500 0.6952
Cu 0.6534 0.7500 0.3048
Pt 0.0599 0.7500 0.1173
Pt 0.2506 0.7500 0.5005
Pt 0.4413 0.7500 0.8855
Pt 0.5587 0.2500 0.1145
Pt 0.7494 0.2500 0.4995
Pt 0.9401 0.2500 0.8827

5.
Computed powder XRD pattern of AlCu2Pt for Cu Kα (λ = 1.5418 Å), from a structure optimized by DFT (GGA-PBE).
Peak positions follow from Bragg's law for the DFT cell and can differ from measured ones.

The 12 most intense peaks (2θ from 10° to 90°), most intense first:
2.195 Å, I = 100
2.169 Å, I = 76
3.138 Å, I = 46
3.739 Å, I = 38
1.968 Å, I = 36
2.687 Å, I = 35
1.838 Å, I = 25
1.869 Å, I = 24
5.197 Å, I = 19
1.355 Å, I = 16
1.343 Å, I = 16
1.175 Å, I = 13

Structural model:
Unit cell a=5.1975 b=3.9367 c=5.2899 alpha=90.00 beta=90.97 gamma=90.00
Positions (direct):
Al 0.1625 0.2500 0.1334
Al 0.8375 0.7500 0.8666
Cu 0.1058 0.2500 0.6110
Cu 0.3911 0.7500 0.3829
Cu 0.6089 0.2500 0.6171
Cu 0.8942 0.7500 0.3890
Pt 0.3262 0.7500 0.8799
Pt 0.6738 0.2500 0.1201

6.
Computed powder XRD pattern of SmAlCu2Pt4 for Cu Kα (λ = 1.5418 Å), from a structure optimized by DFT (GGA-PBE).
Peak positions follow from Bragg's law for the DFT cell and can differ from measured ones.

The 12 most intense peaks (2θ from 10° to 90°), most intense first:
2.177 Å, I = 100
2.363 Å, I = 69
2.551 Å, I = 41
3.202 Å, I = 34
1.298 Å, I = 24
1.601 Å, I = 21
1.290 Å, I = 20
2.977 Å, I = 19
1.903 Å, I = 19
1.257 Å, I = 17
1.656 Å, I = 11
1.318 Å, I = 11

Structural model:
Unit cell a=8.4665 b=8.4665 c=8.4665 alpha=29.80 beta=29.80 gamma=29.80
Positions (direct):
Sm 0.0000 0.0000 0.0000
Al 0.5000 0.5000 0.5000
Cu 0.2471 0.2471 0.2471
Cu 0.7529 0.7529 0.7529
Pt 0.1312 0.1312 0.1312
Pt 0.3999 0.3999 0.3999
Pt 0.6001 0.6001 0.6001
Pt 0.8688 0.8688 0.8688

7.
Computed powder XRD pattern of Tb2Al4CuPt3 for Cu Kα (λ = 1.5418 Å), from a structure optimized by DFT (GGA-PBE).
Peak positions follow from Bragg's law for the DFT cell and can differ from measured ones.

The 12 most intense peaks (2θ from 10° to 90°), most intense first:
2.573 Å, I = 100
2.705 Å, I = 74
2.075 Å, I = 63
2.831 Å, I = 46
3.280 Å, I = 45
1.902 Å, I = 45
1.647 Å, I = 34
1.402 Å, I = 33
3.567 Å, I = 30
2.935 Å, I = 28
1.275 Å, I = 22
1.468 Å, I = 21

Structural model:
Unit cell a=4.1508 b=4.1508 c=10.7022 alpha=90.00 beta=90.00 gamma=90.00
Positions (direct):
Tb 0.0000 0.5000 0.2491
Tb 0.5000 0.0000 0.7509
Al 0.0000 0.0000 0.0000
Al 0.0000 0.5000 0.6282
Al 0.5000 0.0000 0.3718
Al 0.5000 0.5000 0.0000
Cu 0.0000 0.0000 0.5000
Pt 0.0000 0.5000 0.8615
Pt 0.5000 0.0000 0.1385
Pt 0.5000 0.5000 0.5000

8.
Computed powder XRD pattern of YAl4Cu2Pt for Cu Kα (λ = 1.5418 Å), from a structure optimized by DFT (GGA-PBE).
Peak positions follow from Bragg's law for the DFT cell and can differ from measured ones.

The 12 most intense peaks (2θ from 10° to 90°), most intense first:
2.457 Å, I = 100
3.193 Å, I = 93
2.100 Å, I = 76
1.526 Å, I = 30
3.510 Å, I = 28
1.597 Å, I = 26
1.271 Å, I = 24
2.222 Å, I = 17
1.755 Å, I = 16
1.515 Å, I = 16
1.347 Å, I = 13
3.605 Å, I = 13

Structural model:
Unit cell a=9.2121 b=9.2121 c=9.2121 alpha=26.36 beta=26.36 gamma=26.36
Positions (direct):
Y 0.0000 0.0000 0.0000
Al 0.1288 0.1288 0.1288
Al 0.4034 0.4034 0.4034
Al 0.5966 0.5966 0.5966
Al 0.8712 0.8712 0.8712
Cu 0.2484 0.2484 0.2484
Cu 0.7516 0.7516 0.7516
Pt 0.5000 0.5000 0.5000

9.
Computed powder XRD pattern of YAl2CuPt4 for Cu Kα (λ = 1.5418 Å), from a structure optimized by DFT (GGA-PBE).
Peak positions follow from Bragg's law for the DFT cell and can differ from measured ones.

The 12 most intense peaks (2θ from 10° to 90°), most intense first:
2.146 Å, I = 100
3.206 Å, I = 70
2.410 Å, I = 68
1.957 Å, I = 37
2.593 Å, I = 35
8.443 Å, I = 28
1.327 Å, I = 24
1.603 Å, I = 19
1.284 Å, I = 18
1.239 Å, I = 17
3.567 Å, I = 17
1.199 Å, I = 16

Structural model:
Unit cell a=8.7988 b=8.7988 c=8.7988 alpha=28.24 beta=28.24 gamma=28.24
Positions (direct):
Y 0.0000 0.0000 0.0000
Al 0.2382 0.2382 0.2382
Al 0.7618 0.7618 0.7618
Cu 0.5000 0.5000 0.5000
Pt 0.1303 0.1303 0.1303
Pt 0.4005 0.4005 0.4005
Pt 0.5995 0.5995 0.5995
Pt 0.8697 0.8697 0.8697

10.
Computed powder XRD pattern of Y2Al3Cu12Pt for Cu Kα (λ = 1.5418 Å), from a structure optimized by DFT (GGA-PBE).
Peak positions follow from Bragg's law for the DFT cell and can differ from measured ones.

The 12 most intense peaks (2θ from 10° to 90°), most intense first:
2.027 Å, I = 100
2.247 Å, I = 72
2.402 Å, I = 64
2.559 Å, I = 62
2.200 Å, I = 57
1.922 Å, I = 52
4.055 Å, I = 43
2.663 Å, I = 42
1.309 Å, I = 37
3.843 Å, I = 34
2.010 Å, I = 29
1.429 Å, I = 25

Structural model:
Unit cell a=12.4336 b=12.4336 c=12.4336 alpha=24.32 beta=24.32 gamma=24.32
Positions (direct):
Y 0.1439 0.1439 0.1439
Y 0.8561 0.8561 0.8561
Al 0.0000 0.5000 0.5000
Al 0.5000 0.0000 0.5000
Al 0.5000 0.5000 0.0000
Cu 0.1039 0.1038 0.6260
Cu 0.1039 0.6260 0.1039
Cu 0.1066 0.6099 0.6099
Cu 0.3740 0.8962 0.8961
Cu 0.3901 0.3901 0.8934
Cu 0.3901 0.8934 0.3901
Cu 0.6099 0.1066 0.6099
Cu 0.6099 0.6099 0.1066
Cu 0.6260 0.1039 0.1039
Cu 0.8934 0.3901 0.3901
Cu 0.8962 0.3740 0.8962
Cu 0.8962 0.8961 0.3740
Pt 0.5000 0.5000 0.5000

11.
Computed powder XRD pattern of PuAl10Cu2 for Cu Kα (λ = 1.5418 Å), from a structure optimized by DFT (GGA-PBE).
Peak positions follow from Bragg's law for the DFT cell and can differ from measured ones.

The 12 most intense peaks (2θ from 10° to 90°), most intense first:
6.187 Å, I = 100
2.255 Å, I = 95
4.511 Å, I = 92
2.614 Å, I = 64
3.259 Å, I = 63
2.267 Å, I = 62
2.330 Å, I = 58
3.141 Å, I = 52
2.204 Å, I = 48
2.934 Å, I = 43
1.907 Å, I = 29
3.333 Å, I = 27

Structural model:
Unit cell a=9.0950 b=7.1549 c=6.7114 alpha=81.91 beta=51.16 gamma=46.93
Positions (direct):
Pu 0.0000 0.0000 0.0000
Al 0.0000 0.0000 0.5000
Al 0.0070 0.3503 0.6497
Al 0.2778 0.4917 0.5083
Al 0.3503 0.0070 0.9930
Al 0.4917 0.2778 0.7222
Al 0.5000 0.5000 0.0000
Al 0.5083 0.7222 0.2778
Al 0.6497 0.9930 0.0070
Al 0.7222 0.5083 0.4917
Al 0.9930 0.6497 0.3503
Cu 0.0000 0.5000 0.0000
Cu 0.5000 0.0000 0.5000

12.
Computed powder XRD pattern of Pu3Al9Cu2 for Cu Kα (λ = 1.5418 Å), from a structure optimized by DFT (GGA-PBE).
Peak positions follow from Bragg's law for the DFT cell and can differ from measured ones.

The 12 most intense peaks (2θ from 10° to 90°), most intense first:
2.539 Å, I = 100
3.981 Å, I = 98
2.410 Å, I = 53
4.947 Å, I = 53
3.738 Å, I = 46
2.554 Å, I = 43
2.628 Å, I = 43
2.174 Å, I = 30
2.959 Å, I = 30
1.656 Å, I = 24
1.801 Å, I = 22
1.315 Å, I = 20

Structural model:
Unit cell a=8.1162 b=8.1162 c=8.1162 alpha=148.92 beta=104.89 gamma=83.49
Positions (direct):
Pu 0.0000 0.0000 0.0000
Pu 0.2968 0.2968 0.0000
Pu 0.7032 0.7032 0.0000
Al 0.0159 0.6509 0.3650
Al 0.1496 0.8678 0.2818
Al 0.2858 0.6509 0.6350
Al 0.4140 0.1322 0.2818
Al 0.5000 0.0000 0.5000
Al 0.5860 0.8678 0.7182
Al 0.7142 0.3491 0.3650
Al 0.8504 0.1322 0.7182
Al 0.9841 0.3491 0.6350
Cu 0.3093 0.5000 0.8093
Cu 0.6907 0.5000 0.1907

13.
Computed powder XRD pattern of PuAlCu2 for Cu Kα (λ = 1.5418 Å), from a structure optimized by DFT (GGA-PBE).
Peak positions follow from Bragg's law for the DFT cell and can differ from measured ones.

The 12 most intense peaks (2θ from 10° to 90°), most intense first:
2.318 Å, I = 100
2.883 Å, I = 73
2.808 Å, I = 60
2.152 Å, I = 58
4.109 Å, I = 55
4.046 Å, I = 45
2.055 Å, I = 36
2.526 Å, I = 26
1.518 Å, I = 26
1.658 Å, I = 25
2.252 Å, I = 24
3.511 Å, I = 24

Structural model:
Unit cell a=5.0523 b=4.1093 c=6.7545 alpha=90.00 beta=90.00 gamma=90.00
Positions (direct):
Pu 0.2500 0.0000 0.1700
Pu 0.7500 0.0000 0.8300
Al 0.2500 0.5000 0.8303
Al 0.7500 0.5000 0.1697
Cu 0.0000 0.5000 0.5000
Cu 0.2500 0.0000 0.6113
Cu 0.5000 0.5000 0.5000
Cu 0.7500 0.0000 0.3887